# HgS5O
Computed powder diffractogram, Cu Kα (λ = 1.5418 Å). Input: the GGA-PBE geometry in Alexandria.
No peak broadening, texture or thermal motion is included.

Cell and atoms:
abc: 9.5425 9.5425 4.0176
angles: 101.19 101.19 134.19
Positions (direct):
Hg: 0.0000 0.0000 0.0000
S: 0.3174 0.5154 0.2218
S: 0.4846 0.6826 0.7782
S: 0.5825 0.1787 0.0566
S: 0.6255 0.3745 0.5000
S: 0.8213 0.4175 0.9434
O: 0.9736 0.0264 0.5000

Most intense lines, 2θ from 10° to 80°, sorted by position:
2θ/deg	intensity
10.06	79
14.65	38
20.49	100
22.73	39
27.72	22
28.93	28